Entry 1:
The following is a computed powder diffractogram of Ca3Cr. It was derived from a GGA-PBE-relaxed structure, using copper Kα.
Neutral-atom scattering factors, no anomalous dispersion.

Atomic structure:
Unit cell a=6.661 b=6.661 c=6.661 alpha=143.75 beta=128.54 gamma=64.57
Fractional positions:
Ca1 0.000 0.000 0.000
Ca2 0.283 0.783 0.500
Ca3 0.717 0.217 0.500
Cr1 0.500 0.500 0.000

The 10 most intense peaks (2θ from 10° to 80°), by angle:
2theta	I (rel.)
17.2	5
30.9	100
31.8	14
43.7	8
44.9	10
54.5	7
55.0	18
56.1	6
64.4	8
72.3	5

=====

Entry 2:
The following is a computed powder diffractogram of Tb7InTe2. It was derived from a GGA-PBE-relaxed structure, using copper Kα.
Neutral-atom scattering factors, no anomalous dispersion.

Atomic structure:
Unit cell a=8.639 b=8.639 c=5.481 alpha=90.00 beta=90.00 gamma=118.21
Fractional positions:
Tb1 0.000 0.000 0.000
Tb2 0.198 0.436 0.000
Tb3 0.271 0.729 0.500
Tb4 0.436 0.198 0.000
Tb5 0.564 0.802 0.000
Tb6 0.729 0.271 0.500
Tb7 0.802 0.564 0.000
In1 0.500 0.500 0.500
Te1 0.202 0.798 0.000
Te2 0.798 0.202 0.000

The 10 most intense peaks (2θ from 10° to 80°), by angle:
2theta	I (rel.)
16.2	76
20.0	44
25.8	28
29.1	60
31.5	92
32.7	81
35.0	88
35.9	100
46.0	64
63.4	31

=====

Entry 3:
The following is a computed powder diffractogram of NpRhPb. It was derived from a GGA-PBE-relaxed structure, using copper Kα.
Neutral-atom scattering factors, no anomalous dispersion.

Atomic structure:
Unit cell a=4.410 b=4.410 c=7.222 alpha=90.00 beta=90.00 gamma=90.00
Fractional positions:
Np1 0.250 0.250 0.134
Np2 0.750 0.750 0.866
Rh1 0.250 0.250 0.786
Rh2 0.750 0.750 0.214
Pb1 0.250 0.750 0.500
Pb2 0.750 0.250 0.500

The 10 most intense peaks (2θ from 10° to 80°), by angle:
2theta	I (rel.)
31.2	100
32.0	21
37.4	23
38.1	43
40.9	49
42.8	14
56.6	28
59.1	16
59.3	17
68.5	22

=====

Entry 4:
The following is a computed powder diffractogram of Pm3Ge2Pt9. It was derived from a GGA-PBE-relaxed structure, using copper Kα.
Neutral-atom scattering factors, no anomalous dispersion.

Atomic structure:
Unit cell a=8.473 b=8.473 c=8.473 alpha=152.15 beta=99.51 gamma=87.17
Fractional positions:
Pm1 0.000 0.000 0.000
Pm2 0.319 0.319 0.000
Pm3 0.681 0.681 0.000
Ge1 0.252 0.500 0.752
Ge2 0.748 0.500 0.248
Pt1 0.048 0.670 0.378
Pt2 0.172 0.882 0.290
Pt3 0.292 0.670 0.622
Pt4 0.409 0.118 0.290
Pt5 0.500 0.000 0.500
Pt6 0.591 0.882 0.710
Pt7 0.708 0.330 0.378
Pt8 0.828 0.118 0.710
Pt9 0.952 0.330 0.622

The 10 most intense peaks (2θ from 10° to 80°), by angle:
2theta	I (rel.)
23.3	26
31.0	28
32.9	74
33.5	24
35.1	100
40.4	25
43.0	25
44.5	91
47.1	24
66.7	27

=====

Entry 5:
The following is a computed powder diffractogram of Nd5Y12Tm. It was derived from a GGA-PBE-relaxed structure, using copper Kα.
Neutral-atom scattering factors, no anomalous dispersion.

Atomic structure:
Unit cell a=10.791 b=10.791 c=5.089 alpha=90.00 beta=90.00 gamma=90.08
Fractional positions:
Nd1 0.000 0.000 0.000
Nd2 0.167 0.833 0.500
Nd3 0.335 0.665 0.000
Nd4 0.665 0.335 0.000
Nd5 0.833 0.167 0.500
Y1 0.001 0.335 0.000
Y2 0.168 0.168 0.500
Y3 0.168 0.499 0.500
Y4 0.334 0.334 0.000
Y5 0.335 0.001 0.000
Y6 0.499 0.168 0.500
Y7 0.501 0.832 0.500
Y8 0.665 0.999 0.000
Y9 0.666 0.666 0.000
Y10 0.832 0.501 0.500
Y11 0.832 0.832 0.500
Y12 0.999 0.665 0.000
Tm1 0.500 0.500 0.500

The 10 most intense peaks (2θ from 10° to 80°), by angle:
2theta	I (rel.)
11.6	6
25.4	5
30.4	100
35.3	50
37.2	2
50.8	35
60.3	41
63.3	12
74.6	4
74.7	2